Cs2ScCoCl6: simulated powder X-ray diffraction pattern (Cu Kα), based on a cell relaxed with GGA-PBE.
No peak broadening, texture or thermal motion is included.

```
data_Cs2ScCoCl6
_chemical_formula_sum 'Cs4 Sc2 Co2 Cl12'
_symmetry_space_group_name_H-M 'I 4/m m m'
_symmetry_Int_Tables_number 139
_symmetry_space_group_name_Hall '-I 4 2'
_cell_length_a 7.213
_cell_length_b 7.213
_cell_length_c 10.184
_cell_angle_alpha 90.00
_cell_angle_beta 90.00
_cell_angle_gamma 90.00
loop_
_atom_site_label
_atom_site_type_symbol
_atom_site_fract_x
_atom_site_fract_y
_atom_site_fract_z
Cs1 Cs 0.000 0.500 0.250
Sc1 Sc 0.000 0.000 0.000
Co1 Co 0.000 0.000 0.500
Cl1 Cl 0.000 0.000 0.249
Cl2 Cl 0.249 0.249 0.000
```

Top 8 peaks for 10 to 90 degrees two-theta, by intensity:
- 2θ = 24.7°, intensity 100.0, hkl 2 0 0
- 2θ = 35.2°, intensity 77.2, hkl 2 2 0
- 2θ = 30.4°, intensity 62.7, hkl 2 0 2
- 2θ = 50.6°, intensity 50.7, hkl 4 0 0
- 2θ = 43.5°, intensity 44.2, hkl 3 1 2
- 2θ = 60.2°, intensity 23.5, hkl 4 2 2
- 2θ = 68.9°, intensity 22.4, hkl 5 1 2
- 2θ = 57.1°, intensity 19.7, hkl 4 2 0

GdZr3F15: simulated powder X-ray diffraction pattern (Cu Kα), based on a cell relaxed with GGA-PBE.
No peak broadening, texture or thermal motion is included.

```
data_GdZr3F15
_chemical_formula_sum 'Gd4 Zr12 F60'
_symmetry_space_group_name_H-M 'C 1 2/c 1'
_symmetry_Int_Tables_number 15
_symmetry_space_group_name_Hall '-C 2yc'
_cell_length_a 10.643
_cell_length_b 12.645
_cell_length_c 8.250
_cell_angle_alpha 90.00
_cell_angle_beta 106.32
_cell_angle_gamma 90.00
loop_
_atom_site_label
_atom_site_type_symbol
_atom_site_fract_x
_atom_site_fract_y
_atom_site_fract_z
Gd1 Gd 0.000 0.177 0.250
Zr1 Zr 0.000 0.246 0.750
Zr2 Zr 0.211 0.467 0.327
F1 F 0.000 0.469 0.250
F2 F 0.027 0.253 0.002
F3 F 0.129 0.062 0.150
F4 F 0.140 0.364 0.781
F5 F 0.142 0.134 0.778
F6 F 0.151 0.101 0.472
F7 F 0.152 0.312 0.318
F8 F 0.166 0.484 0.056
```

Top 8 peaks for 10 to 90 degrees two-theta, by intensity:
- 2θ = 22.4°, intensity 100.0, hkl 0 0 2
- 2θ = 22.8°, intensity 39.9, hkl 1 3 0
- 2θ = 44.2°, intensity 27.6, hkl 2 0 -4
- 2θ = 30.4°, intensity 22.9, hkl 1 3 -2
- 2θ = 27.2°, intensity 17.8, hkl 2 2 1
- 2θ = 24.3°, intensity 16.4, hkl 2 0 -2
- 2θ = 44.7°, intensity 14.2, hkl 3 5 0
- 2θ = 52.2°, intensity 10.8, hkl 1 7 -1

Ba2Al4ZnCd3: simulated powder X-ray diffraction pattern (Cu Kα), based on a cell relaxed with GGA-PBE.
No peak broadening, texture or thermal motion is included.

```
data_Ba2Al4ZnCd3
_chemical_formula_sum 'Ba2 Al4 Zn1 Cd3'
_symmetry_space_group_name_H-M 'P -4 m 2'
_symmetry_Int_Tables_number 115
_symmetry_space_group_name_Hall 'P -4 -2'
_cell_length_a 4.665
_cell_length_b 4.665
_cell_length_c 11.712
_cell_angle_alpha 90.00
_cell_angle_beta 90.00
_cell_angle_gamma 90.00
loop_
_atom_site_label
_atom_site_type_symbol
_atom_site_fract_x
_atom_site_fract_y
_atom_site_fract_z
Ba1 Ba 0.000 0.500 0.245
Al1 Al 0.000 0.000 0.500
Al2 Al 0.000 0.500 0.876
Al3 Al 0.500 0.500 0.500
Zn1 Zn 0.500 0.500 0.000
Cd1 Cd 0.000 0.000 0.000
Cd2 Cd 0.000 0.500 0.636
```

Top 8 peaks for 10 to 90 degrees two-theta, by intensity:
- 2θ = 31.1°, intensity 100.0, hkl 1 1 2
- 2θ = 29.8°, intensity 71.6, hkl 1 0 3
- 2θ = 38.6°, intensity 60.0, hkl 2 0 0
- 2θ = 43.2°, intensity 35.8, hkl 1 0 5
- 2θ = 49.5°, intensity 34.0, hkl 2 1 3
- 2θ = 59.3°, intensity 27.4, hkl 2 1 5
- 2θ = 28.1°, intensity 25.2, hkl 1 1 1
- 2θ = 24.4°, intensity 24.5, hkl 1 0 2